Simulated X-ray powder pattern
Compound: CaFeO2
Radiation: Cu Kα
Structure: the PBE+U geometry in Alexandria
Neutral-atom scattering factors, no anomalous dispersion.

Most intense lines, 2θ = 5–70°, most intense first:
38.7°, rel. 1000, hkl 0 2 -2
39.1°, rel. 969, hkl 1 2 2
39.4°, rel. 936, hkl -1 2 2
56.3°, rel. 550, hkl 2 0 0
57.0°, rel. 533, hkl 0 4 4
33.3°, rel. 411, hkl 1 1 -1
33.5°, rel. 401, hkl 0 1 3
33.7°, rel. 394, hkl 1 -1 1

Crystal structure
```
data_CaFeO2
_symmetry_space_group_name_H-M 'P -1'
_symmetry_Int_Tables_number 2
_cell_length_a 3.268
_cell_length_b 7.907
_cell_length_c 8.028
_cell_angle_alpha 71.56
_cell_angle_beta 89.97
_cell_angle_gamma 89.34
loop_
_symmetry_equiv_pos_as_xyz
'x,y,z'
'-x,-y,-z'
loop_
_atom_site_label
_atom_site_type_symbol
_atom_site_fract_x
_atom_site_fract_y
_atom_site_fract_z
Ca1 Ca 0.236 0.067 0.312
Ca2 Ca 0.247 0.798 0.071
Fe1 Fe 0.248 0.319 0.557
Fe2 Fe 0.263 0.564 0.809
O1 O 0.184 0.553 0.320
O2 O 0.259 0.063 0.811
O3 O 0.264 0.331 0.069
O4 O 0.280 0.797 0.555
```